Starting from the GGA-PBE geometry in Alexandria, the XRD peak list of PaCoTcC was calculated for Cu Kα (λ = 1.5418 Å).
No peak broadening, texture or thermal motion is included.

Largest 12 diffraction maxima, by angle, 10 to 90 degrees two-theta:
- 21.67°, I = 49, (0 1 0)
- 23.70°, I = 19, (1 0 0)
- 30.64°, I = 26, (0 1 1)
- 32.15°, I = 45, (1 0 1)
- 39.10°, I = 100, (1 1 1)
- 43.61°, I = 20, (0 0 2)
- 44.16°, I = 20, (0 2 0)
- 48.49°, I = 15, (2 0 0)
- 55.66°, I = 19, (1 2 1)
- 63.80°, I = 13, (0 2 2)
- 77.05°, I = 14, (1 1 3)
- 77.83°, I = 13, (1 3 1)

Structural model:
abc: 3.7547 4.1019 4.1508
angles: 90.00 90.00 90.00
Space group Pmmm (No. 47)
Asymmetric unit:
Pa 0.0000 0.0000 0.0000
Co 0.0000 0.5000 0.5000
Tc 0.5000 0.0000 0.5000
C 0.5000 0.5000 0.5000